Theoretical PXRD pattern
Compound: Ac3Tb3Pr2
Radiation: copper Kα
Structure: a PBE-relaxed structure
Lines closer than 0.1° are merged.

Structural model:
```
data_Ac3Tb3Pr2
_cell_length_a 10.2001
_cell_length_b 10.2001
_cell_length_c 6.8314
_cell_angle_alpha 90.00
_cell_angle_beta 90.00
_cell_angle_gamma 120.00
_space_group_name_H-M_alt 'P 63/m c m'
_space_group_IT_number 193
_space_group_name_Hall '-P 6c 2'
loop_
_atom_site_label
_atom_site_type_symbol
_atom_site_fract_x
_atom_site_fract_y
_atom_site_fract_z
Ac1 Ac 0.0000 0.2325 0.2500
Tb1 Tb 0.0000 0.4132 0.7500
Pr1 Pr 0.3333 0.6667 0.0000
```

Main lines, sorted by position (2θ = 10–90°):
- 2θ = 26.09°, intensity 18
- 2θ = 26.70°, intensity 29
- 2θ = 29.78°, intensity 100
- 2θ = 30.36°, intensity 15
- 2θ = 31.52°, intensity 38
- 2θ = 48.38°, intensity 27
- 2θ = 49.13°, intensity 15
- 2θ = 55.72°, intensity 13
- 2θ = 58.85°, intensity 17
- 2θ = 60.90°, intensity 14

---

Theoretical PXRD pattern
Compound: B9C
Radiation: copper Kα
Structure: a PBE-relaxed structure
Lines closer than 0.1° are merged.

Structural model:
```
data_B9C
_cell_length_a 4.314
_cell_length_b 4.840
_cell_length_c 7.398
_cell_angle_alpha 84.87
_cell_angle_beta 81.10
_cell_angle_gamma 80.01
_space_group_name_H-M_alt 'P 1'
_space_group_IT_number 1
loop_
_space_group_symop_operation_xyz
'x,y,z'
loop_
_atom_site_label
_atom_site_type_symbol
_atom_site_fract_x
_atom_site_fract_y
_atom_site_fract_z
B1 B 0.000 0.000 0.000
B2 B 0.000 0.753 0.194
B3 B 0.206 0.866 0.345
B4 B 0.258 0.444 0.734
B5 B 0.275 0.347 0.170
B6 B 0.301 0.212 0.961
B7 B 0.408 0.663 0.157
B8 B 0.413 0.847 0.935
B9 B 0.425 0.299 0.483
B10 B 0.572 0.619 0.357
B11 B 0.604 0.869 0.598
B12 B 0.642 0.212 0.654
B13 B 0.696 0.086 0.873
B14 B 0.778 0.702 0.017
B15 B 0.852 0.353 0.457
B16 B 0.853 0.512 0.662
B17 B 0.881 0.714 0.441
B18 B 0.941 0.384 0.907
C1 C 0.194 0.193 0.364
C2 C 0.439 0.696 0.750
```

Main lines, sorted by position (2θ = 10–90°):
- 2θ = 18.65°, intensity 38
- 2θ = 21.64°, intensity 75
- 2θ = 22.86°, intensity 100
- 2θ = 25.91°, intensity 83
- 2θ = 29.90°, intensity 37
- 2θ = 30.07°, intensity 58
- 2θ = 33.69°, intensity 90
- 2θ = 37.82°, intensity 33
- 2θ = 38.80°, intensity 39
- 2θ = 40.62°, intensity 60

---

Theoretical PXRD pattern
Compound: LiCuPO4
Radiation: copper Kα
Structure: a PBE-relaxed structure
Lines closer than 0.1° are merged.

Structural model:
```
data_LiCuPO4
_cell_length_a 5.561
_cell_length_b 10.931
_cell_length_c 9.726
_cell_angle_alpha 90.00
_cell_angle_beta 90.00
_cell_angle_gamma 90.00
_space_group_name_H-M_alt 'F d d 2'
_space_group_IT_number 43
_space_group_name_Hall 'F 2 -2d'
loop_
_atom_site_label
_atom_site_type_symbol
_atom_site_fract_x
_atom_site_fract_y
_atom_site_fract_z
Li1 Li 0.000 0.000 0.000
Cu1 Cu 0.000 0.000 0.347
P1 P 0.000 0.000 0.700
O1 O 0.079 0.176 0.046
O2 O 0.103 0.333 0.851
```

Main lines, sorted by position (2θ = 10–90°):
- 2θ = 20.11°, intensity 66
- 2θ = 24.50°, intensity 72
- 2θ = 30.74°, intensity 26
- 2θ = 32.77°, intensity 22
- 2θ = 33.02°, intensity 100
- 2θ = 36.25°, intensity 42
- 2θ = 36.97°, intensity 17
- 2θ = 50.43°, intensity 26
- 2θ = 53.15°, intensity 31
- 2θ = 60.78°, intensity 17

---

Theoretical PXRD pattern
Compound: In2Pd5PtAu
Radiation: copper Kα
Structure: a PBE-relaxed structure
Lines closer than 0.1° are merged.

Structural model:
```
data_In2Pd5PtAu
_cell_length_a 7.618
_cell_length_b 7.618
_cell_length_c 11.535
_cell_angle_alpha 90.00
_cell_angle_beta 90.00
_cell_angle_gamma 90.00
_space_group_name_H-M_alt 'I 4/m c m'
_space_group_IT_number 140
_space_group_name_Hall '-I 4 2c'
loop_
_atom_site_label
_atom_site_type_symbol
_atom_site_fract_x
_atom_site_fract_y
_atom_site_fract_z
In1 In 0.120 0.380 0.000
Pd1 Pd 0.000 0.000 0.000
Pd2 Pd 0.203 0.297 0.363
Pt1 Pt 0.000 0.000 0.250
Au1 Au 0.000 0.500 0.250
```

Main lines, sorted by position (2θ = 10–90°):
- 2θ = 28.07°, intensity 14
- 2θ = 33.27°, intensity 68
- 2θ = 35.20°, intensity 46
- 2θ = 36.83°, intensity 17
- 2θ = 37.33°, intensity 14
- 2θ = 39.18°, intensity 100
- 2θ = 43.55°, intensity 16
- 2θ = 50.47°, intensity 19
- 2θ = 63.42°, intensity 25
- 2θ = 74.67°, intensity 12

---

Theoretical PXRD pattern
Compound: K3ZnCd4
Radiation: copper Kα
Structure: a PBE-relaxed structure
Lines closer than 0.1° are merged.

Structural model:
```
data_K3ZnCd4
_cell_length_a 6.270
_cell_length_b 7.612
_cell_length_c 11.204
_cell_angle_alpha 90.00
_cell_angle_beta 90.00
_cell_angle_gamma 90.00
_space_group_name_H-M_alt 'I m m 2'
_space_group_IT_number 44
loop_
_space_group_symop_operation_xyz
'x,y,z'
'-x,-y,z'
'-x,y,z'
'x,-y,z'
'x+1/2,y+1/2,z+1/2'
'-x+1/2,-y+1/2,z+1/2'
'-x+1/2,y+1/2,z+1/2'
'x+1/2,-y+1/2,z+1/2'
loop_
_atom_site_label
_atom_site_type_symbol
_atom_site_fract_x
_atom_site_fract_y
_atom_site_fract_z
K1 K 0.000 0.000 0.000
K2 K 0.000 0.244 0.341
Zn1 Zn 0.000 0.500 0.883
Cd1 Cd 0.000 0.306 0.673
Cd2 Cd 0.242 0.500 0.091
```

Main lines, sorted by position (2θ = 10–90°):
- 2θ = 14.07°, intensity 78
- 2θ = 15.82°, intensity 65
- 2θ = 16.20°, intensity 64
- 2θ = 27.80°, intensity 52
- 2θ = 28.35°, intensity 43
- 2θ = 28.55°, intensity 67
- 2θ = 31.90°, intensity 100
- 2θ = 36.30°, intensity 41
- 2θ = 37.14°, intensity 49
- 2θ = 40.61°, intensity 51

---

Theoretical PXRD pattern
Compound: SrSb2As
Radiation: copper Kα
Structure: a PBE-relaxed structure
Lines closer than 0.1° are merged.

Structural model:
```
data_SrSb2As
_cell_length_a 4.668
_cell_length_b 4.241
_cell_length_c 6.539
_cell_angle_alpha 90.00
_cell_angle_beta 108.66
_cell_angle_gamma 90.00
_space_group_name_H-M_alt 'P 1 m 1'
_space_group_IT_number 6
loop_
_space_group_symop_operation_xyz
'x,y,z'
'x,-y,z'
loop_
_atom_site_label
_atom_site_type_symbol
_atom_site_fract_x
_atom_site_fract_y
_atom_site_fract_z
Sr1 Sr 0.000 0.000 0.000
Sb1 Sb 0.274 0.000 0.560
Sb2 Sb 0.630 0.500 0.440
As1 As 0.501 0.500 0.011
```

Main lines, sorted by position (2θ = 10–90°):
- 2θ = 28.30°, intensity 20
- 2θ = 28.82°, intensity 62
- 2θ = 29.17°, intensity 100
- 2θ = 29.55°, intensity 64
- 2θ = 35.47°, intensity 22
- 2θ = 36.41°, intensity 56
- 2θ = 38.61°, intensity 31
- 2θ = 42.64°, intensity 30
- 2θ = 52.28°, intensity 23
- 2θ = 58.86°, intensity 18

---

Theoretical PXRD pattern
Compound: BaPaOs2O8
Radiation: copper Kα
Structure: a PBE-relaxed structure
Lines closer than 0.1° are merged.

Structural model:
```
data_BaPaOs2O8
_cell_length_a 5.8405
_cell_length_b 5.8405
_cell_length_c 7.6180
_cell_angle_alpha 90.00
_cell_angle_beta 90.00
_cell_angle_gamma 120.00
_space_group_name_H-M_alt 'P -3 m 1'
_space_group_IT_number 164
_space_group_name_Hall '-P 3 2"'
loop_
_atom_site_label
_atom_site_type_symbol
_atom_site_fract_x
_atom_site_fract_y
_atom_site_fract_z
Ba1 Ba 0.0000 0.0000 0.0000
Pa1 Pa 0.0000 0.0000 0.5000
Os1 Os 0.3333 0.6667 0.7945
O1 O 0.1651 0.3303 0.6850
O2 O 0.3333 0.6667 0.0288
```

Main lines, sorted by position (2θ = 10–90°):
- 2θ = 17.53°, intensity 16
- 2θ = 21.08°, intensity 100
- 2θ = 29.35°, intensity 81
- 2θ = 30.61°, intensity 76
- 2θ = 42.93°, intensity 38
- 2θ = 49.13°, intensity 21
- 2θ = 53.64°, intensity 32
- 2θ = 54.42°, intensity 15
- 2θ = 57.80°, intensity 14
- 2θ = 63.75°, intensity 16

---

Theoretical PXRD pattern
Compound: CaNdB12
Radiation: copper Kα
Structure: a PBE-relaxed structure
Lines closer than 0.1° are merged.

Structural model:
```
data_CaNdB12
_cell_length_a 8.278
_cell_length_b 8.278
_cell_length_c 8.278
_cell_angle_alpha 90.00
_cell_angle_beta 90.00
_cell_angle_gamma 90.00
_space_group_name_H-M_alt 'F m -3 m'
_space_group_IT_number 225
_space_group_name_Hall '-F 4 2 3'
loop_
_atom_site_label
_atom_site_type_symbol
_atom_site_fract_x
_atom_site_fract_y
_atom_site_fract_z
Ca1 Ca 0.000 0.000 0.000
Nd1 Nd 0.000 0.000 0.500
B1 B 0.100 0.250 0.250
```

Main lines, sorted by position (2θ = 10–90°):
- 2θ = 18.56°, intensity 56
- 2θ = 21.47°, intensity 44
- 2θ = 30.54°, intensity 100
- 2θ = 35.98°, intensity 34
- 2θ = 37.64°, intensity 44
- 2θ = 43.74°, intensity 22
- 2θ = 49.23°, intensity 47
- 2θ = 54.29°, intensity 21
- 2θ = 67.94°, intensity 29
- 2θ = 72.17°, intensity 21